(1)
Pm6ErTm8: calculated XRD peak list (a wavelength of 1.5418 Å), based on a structure optimized by DFT (GGA-PBE).

Crystal structure
Cell lengths 8.648, 8.648, 8.648 Å; angles 62.80, 62.80, 62.80 degrees
Fractional positions:
Pm 0.039 0.605 0.724
Pm 0.276 0.961 0.395
Pm 0.395 0.276 0.961
Pm 0.605 0.724 0.039
Pm 0.724 0.039 0.605
Pm 0.961 0.395 0.276
Er 0.500 0.500 0.500
Tm 0.077 0.077 0.077
Tm 0.218 0.611 0.248
Tm 0.248 0.218 0.611
Tm 0.389 0.752 0.782
Tm 0.611 0.248 0.218
Tm 0.752 0.782 0.389
Tm 0.782 0.389 0.752
Tm 0.923 0.923 0.923

Most intense lines, 2θ from 5° to 70°, most intense first:
d_spacing  I (rel.)
2.839  100
2.768  30
2.920  19
2.434  15
1.532  12
1.724  12
2.563  10
1.653  8
2.741  8
2.253  7
1.919  6
1.439  6

***

(2)
Pm4Pb3C: calculated XRD peak list (a wavelength of 1.5418 Å), based on a structure optimized by DFT (GGA-PBE).

Crystal structure
Cell lengths 10.318, 12.306, 3.759 Å; angles 90.00, 90.00, 90.00 degrees
Fractional positions:
Pm 0.000 0.218 0.000
Pm 0.000 0.782 0.000
Pm 0.172 0.000 0.500
Pm 0.328 0.500 0.500
Pm 0.500 0.282 0.000
Pm 0.500 0.718 0.000
Pm 0.672 0.500 0.500
Pm 0.828 0.000 0.500
Pb 0.000 0.500 0.000
Pb 0.250 0.250 0.500
Pb 0.250 0.750 0.500
Pb 0.500 0.000 0.000
Pb 0.750 0.250 0.500
Pb 0.750 0.750 0.500
C 0.000 0.000 0.000
C 0.500 0.500 0.000

Most intense lines, 2θ from 5° to 70°, most intense first:
d_spacing  I (rel.)
3.038  100
2.162  66
3.077  56
2.676  30
2.636  26
3.312  19
1.604  19
2.379  18
2.579  18
3.395  17
1.879  16
1.656  15

***

(3)
CeTh2Cd8: calculated XRD peak list (a wavelength of 1.5418 Å), based on a structure optimized by DFT (GGA-PBE).

Crystal structure
Cell lengths 9.034, 9.034, 5.397 Å; angles 107.36, 107.36, 123.74 degrees
Fractional positions:
Ce 0.000 0.000 0.000
Th 0.307 0.693 0.500
Th 0.693 0.307 0.500
Cd 0.103 0.349 0.726
Cd 0.201 0.799 0.000
Cd 0.349 0.103 0.726
Cd 0.500 0.500 0.253
Cd 0.500 0.500 0.747
Cd 0.651 0.897 0.274
Cd 0.799 0.201 0.000
Cd 0.897 0.651 0.274

Most intense lines, 2θ from 5° to 70°, most intense first:
d_spacing  I (rel.)
2.744  100
2.771  72
2.487  61
2.540  54
2.698  39
1.441  26
3.699  25
2.260  24
2.020  24
2.556  22
3.298  22
1.567  18

***

(4)
Li4CuSbO6: calculated XRD peak list (a wavelength of 1.5418 Å), based on a structure optimized by DFT (GGA-PBE).

Crystal structure
Cell lengths 5.141, 5.141, 9.906 Å; angles 93.17, 93.17, 116.04 degrees
Fractional positions:
Li 0.000 0.500 0.500
Li 0.089 0.911 0.750
Li 0.170 0.307 0.998
Li 0.307 0.170 0.498
Li 0.500 0.000 0.000
Li 0.693 0.830 0.502
Li 0.830 0.693 0.002
Li 0.911 0.089 0.250
Cu 0.421 0.579 0.750
Cu 0.579 0.421 0.250
Sb 0.239 0.761 0.250
Sb 0.761 0.239 0.750
O 0.006 0.192 0.616
O 0.119 0.586 0.851
O 0.192 0.006 0.116
O 0.322 0.484 0.364
O 0.414 0.881 0.649
O 0.484 0.322 0.864
O 0.516 0.678 0.136
O 0.586 0.119 0.351
O 0.678 0.516 0.636
O 0.808 0.994 0.884
O 0.881 0.414 0.149
O 0.994 0.808 0.384

Most intense lines, 2θ from 5° to 70°, most intense first:
d_spacing  I (rel.)
4.926  100
2.070  48
2.275  33
4.318  32
2.509  27
4.034  26
2.708  23
3.987  19
1.536  17
3.265  16
1.526  15
1.973  14

***

(5)
MgTlPtRh: calculated XRD peak list (a wavelength of 1.5418 Å), based on a structure optimized by DFT (GGA-PBE).

Crystal structure
Cell lengths 6.497, 6.497, 6.497 Å; angles 90.00, 90.00, 90.00 degrees
Fractional positions:
Mg 0.000 0.000 0.000
Mg 0.000 0.500 0.500
Mg 0.500 0.000 0.500
Mg 0.500 0.500 0.000
Tl 0.000 0.000 0.500
Tl 0.000 0.500 0.000
Tl 0.500 0.000 0.000
Tl 0.500 0.500 0.500
Pt 0.250 0.250 0.750
Pt 0.250 0.750 0.250
Pt 0.750 0.250 0.250
Pt 0.750 0.750 0.750
Rh 0.250 0.250 0.250
Rh 0.250 0.750 0.750
Rh 0.750 0.250 0.750
Rh 0.750 0.750 0.250

Most intense lines, 2θ from 5° to 70°, most intense first:
d_spacing  I (rel.)
2.297  100
3.751  33
1.959  17
1.624  17
1.491  7
3.249  2
1.453  1
1.876  1

***

(6)
RbCl2F6: calculated XRD peak list (a wavelength of 1.5418 Å), based on a structure optimized by DFT (GGA-PBE).

Crystal structure
Cell lengths 8.403, 8.403, 8.198 Å; angles 119.16, 119.16, 49.31 degrees
Fractional positions:
Rb 0.250 0.750 0.750
Rb 0.750 0.250 0.250
Cl 0.242 0.258 0.229
Cl 0.258 0.242 0.729
Cl 0.742 0.758 0.271
Cl 0.758 0.742 0.771
F 0.103 0.119 0.091
F 0.119 0.103 0.591
F 0.232 0.268 0.478
F 0.268 0.232 0.978
F 0.380 0.398 0.369
F 0.398 0.380 0.869
F 0.602 0.620 0.131
F 0.620 0.602 0.631
F 0.732 0.768 0.022
F 0.768 0.732 0.522
F 0.881 0.897 0.409
F 0.897 0.881 0.909

Most intense lines, 2θ from 5° to 70°, most intense first:
d_spacing  I (rel.)
3.080  100
5.328  91
4.107  85
2.664  74
3.459  43
2.758  36
1.832  32
2.534  28
2.050  27
1.706  26
3.224  26
3.506  25

***

(7)
Ta2C: calculated XRD peak list (a wavelength of 1.5418 Å), based on a structure optimized by DFT (GGA-PBE).

Crystal structure
Cell lengths 5.401, 5.387, 4.413 Å; angles 66.02, 65.69, 48.29 degrees
Fractional positions:
Ta 0.117 0.117 0.633
Ta 0.367 0.367 0.883
Ta 0.633 0.633 0.117
Ta 0.883 0.883 0.367
C 0.125 0.125 0.125
C 0.875 0.875 0.875

Most intense lines, 2θ from 5° to 70°, most intense first:
d_spacing  I (rel.)
2.552  100
2.539  99
2.206  75
1.558  48
2.200  36
1.566  13
1.554  13
1.635  3
3.945  3
2.443  2
1.641  1

***

(8)
TaFeGeTe2Pd: calculated XRD peak list (a wavelength of 1.5418 Å), based on a structure optimized by DFT (GGA-PBE).

Crystal structure
Cell lengths 9.854, 9.854, 9.854 Å; angles 23.21, 23.21, 23.21 degrees
Fractional positions:
Ta 0.000 0.000 0.000
Fe 0.301 0.301 0.301
Ge 0.603 0.603 0.603
Te 0.392 0.392 0.392
Te 0.832 0.832 0.832
Pd 0.213 0.213 0.213

Most intense lines, 2θ from 5° to 70°, most intense first:
d_spacing  I (rel.)
2.948  100
1.983  58
9.584  39
2.205  39
1.859  26
1.645  18
4.792  17
2.635  15
2.080  14
3.340  12
2.483  11
1.474  11

***

(9)
ScTc6B4: calculated XRD peak list (a wavelength of 1.5418 Å), based on a structure optimized by DFT (GGA-PBE).

Crystal structure
Cell lengths 5.718, 5.718, 5.718 Å; angles 121.23, 121.23, 87.87 degrees
Fractional positions:
Sc 0.000 0.000 0.000
Tc 0.000 0.500 0.500
Tc 0.083 0.083 0.618
Tc 0.466 0.466 0.382
Tc 0.500 0.000 0.500
Tc 0.534 0.917 0.000
Tc 0.917 0.534 0.000
B 0.298 0.581 0.000
B 0.419 0.419 0.718
B 0.581 0.298 0.000
B 0.702 0.702 0.282

Most intense lines, 2θ from 5° to 70°, most intense first:
d_spacing  I (rel.)
2.319  100
2.400  50
2.857  31
1.984  25
1.852  22
2.059  21
1.429  15
1.774  15
1.827  11
1.344  10
3.968  6
1.377  5

***

(10)
Tm3NpRu4: calculated XRD peak list (a wavelength of 1.5418 Å), based on a structure optimized by DFT (GGA-PBE).

Crystal structure
Cell lengths 3.357, 4.818, 9.387 Å; angles 90.00, 90.00, 90.00 degrees
Fractional positions:
Tm 0.000 0.000 0.000
Tm 0.000 0.500 0.244
Tm 0.000 0.500 0.756
Np 0.000 0.000 0.500
Ru 0.500 0.000 0.273
Ru 0.500 0.000 0.727
Ru 0.500 0.500 0.000
Ru 0.500 0.500 0.500

Most intense lines, 2θ from 5° to 70°, most intense first:
d_spacing  I (rel.)
2.376  100
2.409  26
1.680  25
2.347  23
1.384  18
1.360  15
3.360  15
1.377  9
1.365  8
1.503  5
9.387  3
1.923  3